[1]
Starting from a structure optimized by DFT (GGA-PBE), the powder X-ray diffraction pattern of LaNd4Tm was computed for CuKα.
No peak broadening, texture or thermal motion is included.

The 10 most intense peaks (2θ from 10° to 90°), low angle first:
Position (°2θ)  Rel. int.  (hkl)
26.23  46.2  0 0 6
29.85  100.0  1 1 0
40.14  89.6  1 1 6
52.98  20.1  3 0 0
60.06  27.5  3 0 6
62.00  12.5  2 2 0
62.90  23.7  1 1 12
68.50  18.5  2 2 6
79.03  12.3  3 0 12
85.89  10.3  4 1 0

Structure:
abc: 5.9873 5.9873 20.3878
angles: 90.00 90.00 120.00
Space group R-3m (No. 166, hexagonal axes)
Asymmetric unit:
La  0.0000  0.0000  0.0000 x3
Nd  0.0000  0.0000  0.1673 x6
Nd  0.0000  0.0000  0.3357 x6
Tm  0.0000  0.0000  0.5000 x3

[2]
Starting from a structure optimized by DFT (GGA-PBE), the powder X-ray diffraction pattern of RbSmCu2Cl8 was computed for CuKα.
No peak broadening, texture or thermal motion is included.

The 10 most intense peaks (2θ from 10° to 90°), low angle first:
Position (°2θ)  Rel. int.  (hkl)
14.78  16.2  1 0 1
22.63  100.0  1 1 2
23.97  15.7  0 0 4
30.87  15.1  1 1 4
31.12  19.6  2 1 1
36.59  35.3  2 0 4
38.88  16.2  2 2 0
41.36  25.9  1 1 6
45.45  45.3  1 3 2
46.20  17.4  2 2 4

Structure:
abc: 6.5510 6.5510 14.8490
angles: 90.00 90.00 90.00
Space group I-4 (No. 82)
Asymmetric unit:
Rb  0.0000  0.0000  0.0000 x2
Sm  0.0000  0.5000  0.2500 x2
Cu  0.0000  0.0000  0.5000 x2
Cu  0.0000  0.5000  0.7500 x2
Cl  0.1139  0.2658  0.4134 x8
Cl  0.1629  0.7769  0.8080 x8